No. 1
Starting from a crystal structure in Alexandria, relaxed with GGA-PBE, the powder XRD pattern of NdBe5Au7 was computed for λ = 1.5418 Å (Cu Kα).
Neutral-atom scattering factors, no anomalous dispersion.

Top 8 peaks for 2θ from 5° to 70°, most intense first:
d_spacing  2θ (°)  Rel. int.
2.562  35.0  100
2.221  40.6  80
2.523  35.6  54
3.153  28.3  35
4.459  19.9  28
1.988  45.6  24
1.970  46.1  22
3.129  28.5  20

Crystal structure
Cell: 6.7929 6.7929 6.7929 Å, 136.39 97.91 97.95°
Fractional coordinates of all 13 atoms:
Nd: 0.0000 0.0000 0.0000
Be: 0.0222 0.0238 0.5121
Be: 0.0222 0.5101 0.9984
Be: 0.2401 0.7401 0.5000
Be: 0.5117 0.0238 0.0016
Be: 0.5117 0.5101 0.4879
Au: 0.2382 0.5410 0.6972
Au: 0.3229 0.9810 0.3419
Au: 0.3317 0.3317 0.0000
Au: 0.6391 0.9810 0.6581
Au: 0.6563 0.6563 0.0000
Au: 0.7814 0.2814 0.5000
Au: 0.8438 0.5410 0.3028



No. 2
Starting from a crystal structure in Alexandria, relaxed with GGA-PBE, the powder XRD pattern of K8Na2Hg3 was computed for λ = 1.5418 Å (Cu Kα).
Neutral-atom scattering factors, no anomalous dispersion.

Top 8 peaks for 2θ from 5° to 70°, most intense first:
d_spacing  2θ (°)  Rel. int.
8.869  10.0  100
3.126  28.6  78
3.114  28.7  51
3.935  22.6  49
10.126  8.7  31
3.083  29.0  25
1.804  50.6  25
5.324  16.7  23

Crystal structure
Cell: 10.7765 6.2513 10.8276 Å, 90.00 110.37 90.00°
Fractional coordinates of all 13 atoms:
K: 0.1141 0.0000 0.3865
K: 0.1400 0.5000 0.8687
K: 0.3689 0.5000 0.6385
K: 0.3811 0.0000 0.1184
K: 0.6189 0.0000 0.8816
K: 0.6311 0.5000 0.3615
K: 0.8600 0.5000 0.1313
K: 0.8859 0.0000 0.6135
Na: 0.2398 0.5000 0.2600
Na: 0.7602 0.5000 0.7400
Hg: 0.0000 0.5000 0.5000
Hg: 0.2498 0.0000 0.7495
Hg: 0.7502 0.0000 0.2505